ZnC2Br4N6: simulated XRD peak list (Cu Kα X-rays), based on a structure optimized by DFT (PBE).

Main lines, low angle first (2θ from 10° to 90°):
- 2θ = 10.4°, rel. 100
- 2θ = 12.2°, rel. 100
- 2θ = 16.1°, rel. 52
- 2θ = 17.1°, rel. 72
- 2θ = 21.0°, rel. 38
- 2θ = 21.2°, rel. 87
- 2θ = 21.9°, rel. 23
- 2θ = 24.3°, rel. 45
- 2θ = 26.7°, rel. 68
- 2θ = 28.0°, rel. 37
- 2θ = 31.4°, rel. 31
- 2θ = 34.6°, rel. 39

Crystal structure
Lattice parameters (Å, degrees): 5.8145 8.6139 14.5425 89.27 86.13 79.69
Element x y z (fractional)
1 Zn 0.1868 0.4243 0.2189
2 Zn 0.8132 0.5757 0.7811
3 C 0.2277 0.8505 0.8879
4 C 0.3096 0.7559 0.5494
5 C 0.6904 0.2441 0.4506
6 C 0.7723 0.1495 0.1121
7 Br 0.1431 0.3554 0.7425
8 Br 0.2009 0.3169 0.0677
9 Br 0.2544 0.2306 0.3405
10 Br 0.3745 0.6577 0.2332
11 Br 0.6255 0.3423 0.7668
12 Br 0.7456 0.7694 0.6595
13 Br 0.7991 0.6831 0.9323
14 Br 0.8569 0.6446 0.2575
15 N 0.1054 0.9936 0.8485
16 N 0.1914 0.7429 0.4660
17 N 0.2414 0.7199 0.9236
18 N 0.3141 0.7564 0.6333
19 N 0.3228 0.9844 0.8512
20 N 0.4002 0.7644 0.4548
21 N 0.5998 0.2356 0.5452
22 N 0.6772 0.0156 0.1488
23 N 0.6859 0.2436 0.3667
24 N 0.7586 0.2801 0.0764
25 N 0.8086 0.2571 0.5340
26 N 0.8946 0.0064 0.1515

---

DyH9C5N2O8: simulated XRD peak list (Cu Kα X-rays), based on a structure optimized by DFT (PBE).

Main lines, low angle first (2θ from 10° to 90°):
- 2θ = 14.1°, rel. 45
- 2θ = 14.8°, rel. 100
- 2θ = 16.6°, rel. 28
- 2θ = 17.9°, rel. 24
- 2θ = 18.5°, rel. 47
- 2θ = 22.3°, rel. 40
- 2θ = 27.9°, rel. 27
- 2θ = 29.6°, rel. 22
- 2θ = 29.9°, rel. 21
- 2θ = 30.7°, rel. 18
- 2θ = 33.6°, rel. 21
- 2θ = 35.6°, rel. 21

Crystal structure
Lattice parameters (Å, degrees): 6.7045 6.7045 6.6537 106.07 106.07 65.01
Element x y z (fractional)
1 Dy 0.0000 0.0000 0.0000
2 H 0.0852 0.9148 0.5000
3 H 0.1853 0.3443 0.4173
4 H 0.4472 0.5330 0.8034
5 H 0.4636 0.1625 0.1263
6 H 0.4670 0.5528 0.1966
7 H 0.4774 0.2579 0.5231
8 H 0.6557 0.8147 0.5827
9 H 0.7421 0.5226 0.4769
10 H 0.8375 0.5364 0.8737
11 C 0.2885 0.5283 0.7005
12 C 0.4689 0.0580 0.9642
13 C 0.4717 0.7115 0.2995
14 C 0.9324 0.0676 0.5000
15 C 0.9420 0.5311 0.0358
16 N 0.3163 0.3620 0.5358
17 N 0.6380 0.6837 0.4642
18 O 0.0112 0.6875 0.1260
19 O 0.1021 0.6707 0.7415
20 O 0.3125 0.9888 0.8740
21 O 0.3293 0.8979 0.2585
22 O 0.6368 0.0177 0.8828
23 O 0.8437 0.1442 0.6659
24 O 0.8558 0.1563 0.3341
25 O 0.9823 0.3632 0.1172